For Zr2ScTiN4, DFT lattice parameters and positions (PBE) gives the simulated powder X-ray diffraction pattern in this record (a wavelength of 1.5418 Å).
Kinematic intensities with the Lorentz-polarization factor, no thermal factor.

Largest 10 diffraction maxima, in order of rising 2θ, 5° ≤ 2θ ≤ 70°:
Position (°2θ), Rel. int., (hkl)
17.05, 21, 1 0 0
32.97, 14, 1 0 -2
34.45, 47, 2 0 0
34.53, 47, 1 1 -1
40.03, 100, 1 1 1
57.83, 31, 1 1 -3
57.98, 30, 0 2 0
69.05, 10, 1 1 3
69.19, 19, 3 1 1
69.26, 9, 4 0 -2

Lattice parameters (Å, degrees): 5.5107 3.1809 5.5251 90.00 109.34 90.00
Space group P2/m (No. 10)
Symmetry-distinct sites (fractional):
Zr1 0.0000 0.0000 0.0000 [1 per cell]
Zr2 0.0000 0.5000 0.5000 [1 per cell]
Sc1 0.5000 0.0000 0.5000 [1 per cell]
Ti1 0.5000 0.5000 0.0000 [1 per cell]
N1 0.2582 0.5000 0.2480 [2 per cell]
N2 0.2629 0.0000 0.7585 [2 per cell]



For Nd5Y2Bi4, DFT lattice parameters and positions (PBE) gives the simulated powder X-ray diffraction pattern in this record (a wavelength of 1.5418 Å).
Kinematic intensities with the Lorentz-polarization factor, no thermal factor.

Largest 10 diffraction maxima, in order of rising 2θ, 5° ≤ 2θ ≤ 70°:
Position (°2θ), Rel. int., (hkl)
28.77, 100, 1 -1 3
30.44, 50, 0 1 4
30.62, 48, 1 1 0
31.54, 73, -1 2 1
32.08, 41, 0 0 5
32.80, 82, 1 1 -2
33.43, 76, 1 0 -4
35.28, 49, 0 2 -3
36.96, 47, 1 1 3
41.27, 59, 2 -1 0

Lattice parameters (Å, degrees): 4.3752 6.2791 13.9702 92.66 90.15 110.31
Space group P-1 (No. 2)
Symmetry-distinct sites (fractional):
Nd1 0.0000 0.0000 0.0000 [1 per cell]
Nd2 0.0677 0.1381 0.7058 [2 per cell]
Nd3 0.3630 0.7414 0.5257 [2 per cell]
Y1 0.3403 0.6853 0.8443 [2 per cell]
Bi1 0.2174 0.4243 0.3229 [2 per cell]
Bi2 0.3544 0.7066 0.1044 [2 per cell]



For AsRu5, DFT lattice parameters and positions (PBE) gives the simulated powder X-ray diffraction pattern in this record (a wavelength of 1.5418 Å).
Kinematic intensities with the Lorentz-polarization factor, no thermal factor.

Largest 10 diffraction maxima, in order of rising 2θ, 5° ≤ 2θ ≤ 70°:
Position (°2θ), Rel. int., (hkl)
37.65, 75, 1 1 1
39.30, 10, 2 0 2
40.61, 78, 4 0 -2
42.68, 100, 1 1 -2
43.29, 95, 3 1 0
43.88, 65, 0 0 3
45.05, 52, 4 0 1
56.08, 23, 3 1 -3
57.06, 16, 5 1 -1
66.86, 20, 0 2 0

Lattice parameters (Å, degrees): 9.8786 2.7988 6.4853 90.00 107.36 90.00
Space group Cm (No. 8)
Symmetry-distinct sites (fractional):
As1 0.0000 0.0000 0.0000 [2 per cell]
Ru1 0.0426 0.0000 0.6296 [2 per cell]
Ru2 0.1440 0.5000 0.3340 [2 per cell]
Ru3 0.2397 0.5000 0.9631 [2 per cell]
Ru4 0.3147 0.0000 0.6648 [2 per cell]
Ru5 0.3652 0.0000 0.3054 [2 per cell]



For YHfTe3, DFT lattice parameters and positions (PBE) gives the simulated powder X-ray diffraction pattern in this record (a wavelength of 1.5418 Å).
Kinematic intensities with the Lorentz-polarization factor, no thermal factor.

Largest 10 diffraction maxima, in order of rising 2θ, 5° ≤ 2θ ≤ 70°:
Position (°2θ), Rel. int., (hkl)
9.17, 72, 0 2 0
22.77, 40, 1 1 1
27.77, 51, 0 6 0
30.96, 42, 0 0 2
32.24, 94, 1 6 0
32.35, 50, 0 2 2
32.48, 100, 2 0 0
36.29, 40, 0 4 2
39.88, 58, 1 4 2
46.50, 37, 2 2 2

Lattice parameters (Å, degrees): 5.5133 19.2928 5.7774 90.00 90.00 90.00
Space group Ama2 (No. 40)
Symmetry-distinct sites (fractional):
Y1 0.2500 0.1512 0.0000 [4 per cell]
Hf1 0.2500 0.4350 0.9346 [4 per cell]
Te1 0.2500 0.0878 0.4832 [4 per cell]
Te2 0.2500 0.2880 0.7573 [4 per cell]
Te3 0.2500 0.4402 0.4322 [4 per cell]



For Cs3PrAg2Br8, DFT lattice parameters and positions (PBE) gives the simulated powder X-ray diffraction pattern in this record (a wavelength of 1.5418 Å).
Kinematic intensities with the Lorentz-polarization factor, no thermal factor.

Largest 10 diffraction maxima, in order of rising 2θ, 5° ≤ 2θ ≤ 70°:
Position (°2θ), Rel. int., (hkl)
8.31, 22, 0 0 1
20.98, 34, 0 1 2
21.99, 100, 1 1 0
26.81, 34, 0 2 1
28.22, 21, 1 0 3
30.58, 91, 2 0 2
36.09, 37, 2 0 3
38.58, 23, 3 0 0
42.69, 58, 0 2 4
44.85, 52, 2 2 0

Lattice parameters (Å, degrees): 8.0836 8.0836 10.6345 90.00 90.00 120.00
Space group P-3m1 (No. 164)
Symmetry-distinct sites (fractional):
Cs1 0.0000 0.0000 0.0000 [1 per cell]
Cs2 0.3333 0.6667 0.6296 [2 per cell]
Pr1 0.0000 0.0000 0.5000 [1 per cell]
Ag1 0.3333 0.6667 0.1902 [2 per cell]
Br1 0.1665 0.3330 0.3369 [6 per cell]
Br2 0.3333 0.6667 0.9524 [2 per cell]



For MgBi4O9, DFT lattice parameters and positions (PBE) gives the simulated powder X-ray diffraction pattern in this record (a wavelength of 1.5418 Å).
Kinematic intensities with the Lorentz-polarization factor, no thermal factor.

Largest 10 diffraction maxima, in order of rising 2θ, 5° ≤ 2θ ≤ 70°:
Position (°2θ), Rel. int., (hkl)
18.94, 17, 1 1 -1
26.61, 100, 1 1 1
29.68, 72, 2 1 -3
31.25, 21, 0 2 0
33.18, 25, 3 0 -2
33.50, 22, 1 0 -4
43.84, 18, 2 0 2
46.22, 19, 3 2 -2
46.46, 19, 1 2 -4
54.05, 17, 0 1 5

Lattice parameters (Å, degrees): 8.2291 5.7243 11.3579 90.00 128.55 90.00
Space group P2/c (No. 13)
Symmetry-distinct sites (fractional):
Mg1 0.0000 0.2106 0.2500 [2 per cell]
Bi1 0.2064 0.1875 0.0632 [4 per cell]
Bi2 0.3785 0.2753 0.8550 [4 per cell]
O1 0.1175 0.1337 0.6204 [4 per cell]
O2 0.1739 0.3816 0.2048 [4 per cell]
O3 0.2526 0.0109 0.4226 [4 per cell]
O4 0.3085 0.4591 0.9966 [4 per cell]
O5 0.5000 0.0377 0.2500 [2 per cell]